No. 1
The following is a theoretical powder diffractogram of SmYCo2B2C2. It was derived from a structure optimized by DFT (PBE), using Cu Kα, 1.54184 Å.
No peak broadening, texture or thermal motion is included.

Unit cell a=3.5943 b=3.5943 c=7.6636 alpha=90.00 beta=90.00 gamma=90.00
Space group P4mm (No. 99)
Asymmetric unit:
Sm 0.0000 0.0000 0.0000 x1
Y 0.5000 0.5000 0.3368 x1
Co 0.0000 0.5000 0.6688 x2
B 0.0000 0.0000 0.5238 x1
B 0.5000 0.5000 0.8166 x1
C 0.0000 0.0000 0.3268 x1
C 0.5000 0.5000 0.0142 x1

The 10 most intense peaks (15° ≤ 2θ ≤ 90°), in order of rising 2θ:
27.41°, I = 100
34.20°, I = 73
35.13°, I = 56
37.27°, I = 87
42.69°, I = 66
50.80°, I = 44
58.69°, I = 26
60.52°, I = 22
62.68°, I = 25
63.27°, I = 38

***

No. 2
The following is a theoretical powder diffractogram of GaIr2O4. It was derived from a structure optimized by DFT (PBE), using Cu Kα, 1.54184 Å.
No peak broadening, texture or thermal motion is included.

Unit cell a=8.8028 b=8.8028 c=8.8028 alpha=90.00 beta=90.00 gamma=90.00
Space group Fd-3m (No. 227, origin choice 2)
Asymmetric unit:
Ga 0.1250 0.1250 0.1250 x8
Ir 0.0000 0.0000 0.5000 x16
O 0.0130 0.0130 0.7370 x32

The 10 most intense peaks (15° ≤ 2θ ≤ 90°), in order of rising 2θ:
17.45°, I = 62
33.77°, I = 100
35.32°, I = 51
41.01°, I = 35
44.88°, I = 13
54.14°, I = 38
59.39°, I = 44
62.41°, I = 13
71.03°, I = 24
84.55°, I = 22

***

No. 3
The following is a theoretical powder diffractogram of HoSiNi. It was derived from a structure optimized by DFT (PBE), using Cu Kα, 1.54184 Å.
No peak broadening, texture or thermal motion is included.

Unit cell a=6.7667 b=6.7667 c=3.7395 alpha=90.00 beta=90.00 gamma=120.00
Space group P-62m (No. 189)
Asymmetric unit:
Ho 0.0000 0.5842 0.0000 x3
Si 0.0000 0.2383 0.5000 x3
Ni 0.0000 0.0000 0.0000 x1
Ni 0.3333 0.6667 0.5000 x2

The 10 most intense peaks (15° ≤ 2θ ≤ 90°), in order of rising 2θ:
23.79°, I = 28
26.34°, I = 38
30.51°, I = 35
35.79°, I = 100
39.05°, I = 97
40.74°, I = 33
48.70°, I = 22
56.63°, I = 26
62.29°, I = 36
77.88°, I = 20

***

No. 4
The following is a theoretical powder diffractogram of BaCoAu2S4. It was derived from a structure optimized by DFT (PBE), using Cu Kα, 1.54184 Å.
No peak broadening, texture or thermal motion is included.

Unit cell a=6.5849 b=6.9772 c=7.9989 alpha=90.00 beta=90.00 gamma=90.00
Space group I222 (No. 23)
Asymmetric unit:
Ba 0.0000 0.0000 0.0000 x2
Co 0.0000 0.0000 0.5000 x2
Au 0.0000 0.5000 0.1904 x4
S 0.1926 0.1813 0.3385 x8

The 10 most intense peaks (15° ≤ 2θ ≤ 90°), in order of rising 2θ:
17.44°, I = 24
25.53°, I = 36
27.08°, I = 30
29.09°, I = 100
31.09°, I = 21
36.06°, I = 28
37.56°, I = 46
45.67°, I = 19
47.27°, I = 28
49.11°, I = 26

***

No. 5
The following is a theoretical powder diffractogram of Ag3PO4. It was derived from a structure optimized by DFT (PBE), using Cu Kα, 1.54184 Å.
No peak broadening, texture or thermal motion is included.

Unit cell a=6.9740 b=5.8721 c=5.3658 alpha=90.00 beta=90.00 gamma=90.00
Space group Pmn2_1 (No. 31)
Asymmetric unit:
Ag 0.0000 0.2083 0.0000 x2
Ag 0.2341 0.6122 0.9613 x4
P 0.0000 0.8724 0.4999 x2
O 0.0000 0.1307 0.4388 x2
O 0.0000 0.8420 0.7882 x2
O 0.1807 0.7595 0.3823 x4

The 10 most intense peaks (15° ≤ 2θ ≤ 90°), in order of rising 2θ:
15.09°, I = 28
29.80°, I = 73
33.40°, I = 67
34.26°, I = 100
34.83°, I = 70
43.69°, I = 23
45.36°, I = 37
49.57°, I = 24
60.25°, I = 22
64.55°, I = 21

***

No. 6
The following is a theoretical powder diffractogram of CuAg. It was derived from a structure optimized by DFT (PBE), using Cu Kα, 1.54184 Å.
No peak broadening, texture or thermal motion is included.

Unit cell a=2.7777 b=3.7920 c=14.0216 alpha=90.00 beta=90.00 gamma=90.00
Space group Pmmm (No. 47)
Asymmetric unit:
Cu 0.0000 0.0000 0.0000 x1
Cu 0.0000 0.0000 0.4024 x2
Cu 0.5000 0.5000 0.0871 x2
Ag 0.0000 0.0000 0.1872 x2
Ag 0.5000 0.5000 0.3009 x2
Ag 0.5000 0.5000 0.5000 x1

The 10 most intense peaks (15° ≤ 2θ ≤ 90°), in order of rising 2θ:
39.99°, I = 95
40.25°, I = 100
45.99°, I = 63
47.98°, I = 29
67.43°, I = 10
68.64°, I = 35
80.87°, I = 18
81.37°, I = 22
83.98°, I = 10
84.15°, I = 11

***

No. 7
The following is a theoretical powder diffractogram of BaSiAg2Te3Se. It was derived from a structure optimized by DFT (PBE), using Cu Kα, 1.54184 Å.
No peak broadening, texture or thermal motion is included.

Unit cell a=6.8181 b=6.8635 c=6.9313 alpha=112.45 beta=114.77 gamma=100.82
Space group P1 (No. 1)
Asymmetric unit:
Ba 0.0000 0.0000 0.0000 x1
Si 0.5247 0.4921 0.0009 x1
Ag 0.1739 0.6689 0.4852 x1
Ag 0.8206 0.3083 0.5065 x1
Te 0.1580 0.1375 0.6151 x1
Te 0.4699 0.8439 0.9907 x1
Te 0.5381 0.5306 0.3858 x1
Se 0.8588 0.4705 0.0040 x1

The 10 most intense peaks (15° ≤ 2θ ≤ 90°), in order of rising 2θ:
26.29°, I = 100
26.45°, I = 47
26.63°, I = 52
27.90°, I = 58
28.42°, I = 48
32.90°, I = 31
33.02°, I = 31
33.25°, I = 50
34.03°, I = 51
37.87°, I = 31

***

No. 8
The following is a theoretical powder diffractogram of InAg9. It was derived from a structure optimized by DFT (PBE), using Cu Kα, 1.54184 Å.
No peak broadening, texture or thermal motion is included.

Unit cell a=2.9220 b=2.9220 c=50.2741 alpha=90.00 beta=90.00 gamma=90.00
Space group P4/nmm (No. 129, origin choice 2)
Asymmetric unit:
In 0.2500 0.2500 0.1059 x2
Ag 0.2500 0.2500 0.1948 x2
Ag 0.2500 0.2500 0.2761 x2
Ag 0.2500 0.2500 0.3568 x2
Ag 0.2500 0.2500 0.4384 x2
Ag 0.2500 0.2500 0.5206 x2
Ag 0.2500 0.2500 0.6025 x2
Ag 0.2500 0.2500 0.6836 x2
Ag 0.2500 0.2500 0.7644 x2
Ag 0.2500 0.2500 0.8466 x2

The 10 most intense peaks (15° ≤ 2θ ≤ 90°), in order of rising 2θ:
37.53°, I = 100
38.62°, I = 22
43.19°, I = 11
43.82°, I = 39
45.08°, I = 7
63.21°, I = 14
63.70°, I = 12
64.68°, I = 9
76.34°, I = 23
77.47°, I = 8

***

No. 9
The following is a theoretical powder diffractogram of Rb2Er4Cu4S9. It was derived from a structure optimized by DFT (PBE), using Cu Kα, 1.54184 Å.
No peak broadening, texture or thermal motion is included.

Unit cell a=13.8263 b=3.9332 c=15.8646 alpha=90.00 beta=109.26 gamma=90.00
Space group C2/m (No. 12)
Asymmetric unit:
Rb 0.0282 0.0000 0.2708 x4
Er 0.1544 0.5000 0.5545 x4
Er 0.2317 0.0000 0.1036 x4
Cu 0.0701 0.5000 0.9611 x4
Cu 0.2485 0.0000 0.7292 x4
S 0.0000 0.0000 0.5000 x2
S 0.1086 0.5000 0.1245 x4
S 0.1403 0.0000 0.9251 x4
S 0.1564 0.5000 0.7229 x4
S 0.2042 0.5000 0.4005 x4

The 10 most intense peaks (15° ≤ 2θ ≤ 90°), in order of rising 2θ:
23.16°, I = 60
25.94°, I = 88
27.50°, I = 66
28.30°, I = 82
29.85°, I = 100
30.32°, I = 50
32.54°, I = 75
39.83°, I = 61
46.16°, I = 68
46.77°, I = 49

***

No. 10
The following is a theoretical powder diffractogram of Mg2Cd. It was derived from a structure optimized by DFT (PBE), using Cu Kα, 1.54184 Å.
No peak broadening, texture or thermal motion is included.

Unit cell a=5.0856 b=9.4292 c=5.3526 alpha=90.00 beta=90.00 gamma=90.00
Space group Pmmn (No. 59, origin choice 2)
Asymmetric unit:
Mg 0.2500 0.0811 0.0885 x4
Mg 0.2500 0.2500 0.5892 x2
Mg 0.2500 0.7500 0.0765 x2
Cd 0.2500 0.5829 0.5889 x4

The 10 most intense peaks (15° ≤ 2θ ≤ 90°), in order of rising 2θ:
16.56°, I = 53
19.84°, I = 25
24.14°, I = 18
33.05°, I = 27
33.51°, I = 37
35.30°, I = 41
37.61°, I = 100
37.99°, I = 53
64.88°, I = 19
71.19°, I = 20

***

No. 11
The following is a theoretical powder diffractogram of FeCuI2Cl2. It was derived from a structure optimized by DFT (PBE), using Cu Kα, 1.54184 Å.
No peak broadening, texture or thermal motion is included.

Unit cell a=8.5843 b=10.8247 c=5.9269 alpha=90.00 beta=133.43 gamma=90.00
Space group C2 (No. 5)
Asymmetric unit:
Fe 0.0000 0.0000 0.0000 x2
Cu 0.0000 0.7740 0.5000 x2
I 0.2451 0.1368 0.4836 x4
Cl 0.1951 0.8875 0.9529 x4

The 10 most intense peaks (15° ≤ 2θ ≤ 90°), in order of rising 2θ:
16.39°, I = 36
17.06°, I = 13
20.67°, I = 25
26.49°, I = 100
33.15°, I = 15
41.99°, I = 13
42.16°, I = 11
44.33°, I = 20
45.38°, I = 21
55.22°, I = 12

***

No. 12
The following is a theoretical powder diffractogram of SmPtF7. It was derived from a structure optimized by DFT (PBE), using Cu Kα, 1.54184 Å.
No peak broadening, texture or thermal motion is included.

Unit cell a=8.7199 b=5.2603 c=11.8556 alpha=90.00 beta=117.97 gamma=90.00
Space group P2_1/c (No. 14)
Asymmetric unit:
Sm 0.1866 0.2301 0.2573 x4
Pt 0.2750 0.7408 0.0401 x4
F 0.0212 0.7315 0.4607 x4
F 0.0405 0.6307 0.7240 x4
F 0.2402 0.0886 0.4566 x4
F 0.2724 0.5748 0.1855 x4
F 0.2968 0.5843 0.4032 x4
F 0.3138 0.0594 0.1347 x4
F 0.4767 0.1760 0.3815 x4

The 10 most intense peaks (15° ≤ 2θ ≤ 90°), in order of rising 2θ:
22.88°, I = 100
23.10°, I = 44
28.73°, I = 13
30.00°, I = 35
30.48°, I = 12
34.09°, I = 19
35.29°, I = 12
49.27°, I = 16
50.49°, I = 14
54.71°, I = 20